Diffraction record for HoErSc3. The powder X-ray diffraction pattern is calculated, not measured: it uses a crystal structure in Alexandria, relaxed with PBE and Cu Kα, 1.54184 Å.
Kinematic intensities with the Lorentz-polarization factor, no thermal factor.

Atomic structure:
```
HoErSc3
1.0
6.2126 0.0000 0.0000
2.8170 5.5758 0.0000
2.6620 0.2335 7.7790
Ho Er Sc
2 2 6
Direct
0.2001 0.2113 0.0320
0.7999 0.7887 0.9680
0.2436 0.6521 0.1928
0.7564 0.3479 0.8072
0.1525 0.1469 0.4288
0.3082 0.8568 0.7483
0.3327 0.3831 0.6269
0.6673 0.6169 0.3731
0.6918 0.1432 0.2517
0.8475 0.8531 0.5712
```

Largest 6 diffraction maxima, sorted by position, 10° ≤ 2θ ≤ 90°:
d_spacing  2theta  I/Imax
7.779  11.4  49
2.789  32.1  25
2.723  32.9  28
2.693  33.3  33
2.661  33.7  27
2.648  33.8  100

Diffraction record for GaCuNi. The powder X-ray diffraction pattern is calculated, not measured: it uses a crystal structure in Alexandria, relaxed with PBE and Cu Kα, 1.54184 Å.
Kinematic intensities with the Lorentz-polarization factor, no thermal factor.

Atomic structure:
```
GaCuNi
1.0
0.0000 3.7021 7.6535
3.0899 0.0000 7.6535
3.0899 3.7021 0.0000
Ga Cu Ni
4 4 4
Direct
0.0604 0.6896 0.0604
0.3104 0.9396 0.3104
0.6896 0.0604 0.6896
0.9396 0.3104 0.9396
0.0000 0.5000 0.5000
0.5000 0.0000 0.5000
0.5000 0.5000 0.0000
0.5000 0.5000 0.5000
0.0065 0.0065 0.7435
0.2565 0.2565 0.9935
0.7435 0.7435 0.0065
0.9935 0.9935 0.2565
```

Largest 6 diffraction maxima, sorted by position, 10° ≤ 2θ ≤ 90°:
d_spacing  2theta  I/Imax
2.266  39.8  45
2.091  43.3  100
2.016  45.0  82
1.968  46.1  66
1.913  47.5  55
1.835  49.7  54